NaCaVCl6: simulated powder XRD pattern (Cu Kα), based on a crystal structure in Alexandria, relaxed with GGA-PBE.
Neutral-atom scattering factors, no anomalous dispersion.

Top 6 peaks for 2θ = 10–90°, low angle first:
2theta  I_rel
14.52  31.0
21.16  41.5
30.50  100.0
40.03  63.4
47.11  38.6
52.70  19.6

Structural model:
a = 6.6837 Å, b = 6.6837 Å, c = 12.1985 Å
α = 90.00°, β = 90.00°, γ = 120.00°
Space group P-31c (No. 163)
Asymmetric unit:
Na  0.0000  0.0000  0.0000 [2 per cell]
Ca  0.3333  0.6667  0.2500 [2 per cell]
V  0.3333  0.6667  0.7500 [2 per cell]
Cl  0.0386  0.3761  0.6353 [12 per cell]

Na2CaZnCl6: simulated powder XRD pattern (Cu Kα), based on a crystal structure in Alexandria, relaxed with GGA-PBE.
Neutral-atom scattering factors, no anomalous dispersion.

Top 6 peaks for 2θ = 10–90°, low angle first:
2theta  I_rel
15.61  85.5
17.60  89.9
23.60  47.8
29.59  36.5
35.63  100.0
36.32  53.4

Structural model:
a = 7.127 Å, b = 7.127 Å, c = 5.679 Å
α = 90.00°, β = 90.00°, γ = 90.00°
Space group P4mm (No. 99)
Asymmetric unit:
Na  0.000  0.500  0.000 [2 per cell]
Ca  0.000  0.000  0.671 [1 per cell]
Zn  0.500  0.500  0.641 [1 per cell]
Cl  0.000  0.000  0.201 [1 per cell]
Cl  0.264  0.264  0.764 [4 per cell]
Cl  0.500  0.500  0.250 [1 per cell]

Copy entry 2 word for word.
Na2CaZnCl6: simulated powder XRD pattern (Cu Kα), based on a crystal structure in Alexandria, relaxed with GGA-PBE.
Neutral-atom scattering factors, no anomalous dispersion.

Top 6 peaks for 2θ = 10–90°, low angle first:
2theta  I_rel
15.61  85.5
17.60  89.9
23.60  47.8
29.59  36.5
35.63  100.0
36.32  53.4

Structural model:
a = 7.127 Å, b = 7.127 Å, c = 5.679 Å
α = 90.00°, β = 90.00°, γ = 90.00°
Space group P4mm (No. 99)
Asymmetric unit:
Na  0.000  0.500  0.000 [2 per cell]
Ca  0.000  0.000  0.671 [1 per cell]
Zn  0.500  0.500  0.641 [1 per cell]
Cl  0.000  0.000  0.201 [1 per cell]
Cl  0.264  0.264  0.764 [4 per cell]
Cl  0.500  0.500  0.250 [1 per cell]